# SmNi2Sn2
Simulated powder XRD pattern, CuKα. Input: a DFT-relaxed cell (PBE, the Materials Project).
No peak broadening, texture or thermal motion is included.

Atomic structure:
Unit cell a=4.4456 b=4.4456 c=10.0619 alpha=90.00 beta=90.00 gamma=90.00
Fractional coordinates of all 10 atoms:
Sm (0.2500, 0.2500, 0.2390)
Sm (0.7500, 0.7500, 0.7610)
Ni (0.2500, 0.2500, 0.6271)
Ni (0.2500, 0.7500, 0.0000)
Ni (0.7500, 0.2500, 0.0000)
Ni (0.7500, 0.7500, 0.3729)
Sn (0.2500, 0.2500, 0.8729)
Sn (0.2500, 0.7500, 0.5000)
Sn (0.7500, 0.2500, 0.5000)
Sn (0.7500, 0.7500, 0.1271)

Top 10 peaks for 2θ = 5–70°, by angle:
2θ 28.39, 3.144 Å, intensity 15; 2θ 33.47, 2.677 Å, intensity 65; 2θ 33.62, 2.666 Å, intensity 100; 2θ 40.59, 2.223 Å, intensity 71; 2θ 46.22, 1.964 Å, intensity 19; 2θ 49.73, 1.833 Å, intensity 23; 2θ 53.59, 1.710 Å, intensity 34; 2θ 58.74, 1.572 Å, intensity 24; 2θ 66.06, 1.414 Å, intensity 19; 2θ 69.39, 1.354 Å, intensity 32


# Rb3Zr6BeCl15
Simulated powder XRD pattern, CuKα. Input: a DFT-relaxed cell (PBE, the Materials Project).
No peak broadening, texture or thermal motion is included.

Atomic structure:
Unit cell a=10.2354 b=10.2354 c=14.3787 alpha=92.46 beta=92.46 gamma=69.60
Fractional coordinates of all 50 atoms:
Rb (0.0613, 0.9387, 0.7500)
Rb (0.1301, 0.6412, 0.4336)
Rb (0.3588, 0.8699, 0.0664)
Rb (0.6412, 0.1301, 0.9336)
Rb (0.8699, 0.3588, 0.5664)
Rb (0.9387, 0.0613, 0.2500)
Zr (0.0011, 0.7278, 0.0014)
Zr (0.1504, 0.4535, 0.1337)
Zr (0.1956, 0.4255, 0.9034)
Zr (0.2722, 0.9989, 0.4986)
Zr (0.4255, 0.1956, 0.4034)
Zr (0.4535, 0.1504, 0.6337)
Zr (0.5465, 0.8496, 0.3663)
Zr (0.5745, 0.8044, 0.5966)
Zr (0.7278, 0.0011, 0.5014)
Zr (0.8044, 0.5745, 0.0966)
Zr (0.8496, 0.5465, 0.8663)
Zr (0.9989, 0.2722, 0.9986)
Be (0.0000, 0.5000, 0.0000)
Be (0.5000, 0.0000, 0.5000)
Cl (0.0000, 0.0000, 0.0000)
Cl (0.0000, 0.0000, 0.5000)
Cl (0.0480, 0.4813, 0.7496)
Cl (0.1560, 0.7073, 0.1507)
Cl (0.1577, 0.1972, 0.1449)
Cl (0.1626, 0.2173, 0.3994)
Cl (0.1972, 0.1577, 0.6449)
Cl (0.2173, 0.1626, 0.8994)
Cl (0.2190, 0.6728, 0.8991)
Cl (0.2927, 0.8440, 0.3493)
Cl (0.3272, 0.7810, 0.6009)
Cl (0.3294, 0.4170, 0.2879)
Cl (0.3700, 0.3776, 0.5408)
Cl (0.3776, 0.3700, 0.0408)
Cl (0.4170, 0.3294, 0.7879)
Cl (0.4813, 0.0480, 0.2496)
Cl (0.5187, 0.9520, 0.7504)
Cl (0.5830, 0.6706, 0.2121)
Cl (0.6224, 0.6300, 0.9592)
Cl (0.6300, 0.6224, 0.4592)
Cl (0.6706, 0.5830, 0.7121)
Cl (0.6728, 0.2190, 0.3991)
Cl (0.7073, 0.1560, 0.6507)
Cl (0.7810, 0.3272, 0.1009)
Cl (0.7827, 0.8374, 0.1006)
Cl (0.8028, 0.8423, 0.3551)
Cl (0.8374, 0.7827, 0.6006)
Cl (0.8423, 0.8028, 0.8551)
Cl (0.8440, 0.2927, 0.8493)
Cl (0.9520, 0.5187, 0.2504)

Top 10 peaks for 2θ = 5–70°, by angle:
2θ 10.54, 8.393 Å, intensity 41; 2θ 10.94, 8.087 Å, intensity 100; 2θ 11.25, 7.867 Å, intensity 43; 2θ 24.34, 3.657 Å, intensity 33; 2θ 31.58, 2.833 Å, intensity 56; 2θ 33.24, 2.696 Å, intensity 37; 2θ 35.29, 2.543 Å, intensity 35; 2θ 36.97, 2.432 Å, intensity 32; 2θ 44.87, 2.020 Å, intensity 28; 2θ 51.54, 1.773 Å, intensity 33


# TmCu3Te3
Simulated powder XRD pattern, CuKα. Input: a DFT-relaxed cell (PBE, the Materials Project).
No peak broadening, texture or thermal motion is included.

Atomic structure:
Unit cell a=8.1992 b=8.1992 c=8.1992 alpha=53.96 beta=53.96 gamma=53.96
Fractional coordinates of all 14 atoms:
Tm (0.1660, 0.1660, 0.1660)
Tm (0.8340, 0.8340, 0.8340)
Cu (0.0288, 0.7244, 0.3715)
Cu (0.2756, 0.6285, 0.9712)
Cu (0.3715, 0.0288, 0.7244)
Cu (0.6285, 0.9712, 0.2756)
Cu (0.7244, 0.3715, 0.0288)
Cu (0.9712, 0.2756, 0.6285)
Te (0.0945, 0.4206, 0.7407)
Te (0.2593, 0.9055, 0.5794)
Te (0.4206, 0.7407, 0.0945)
Te (0.5794, 0.2593, 0.9055)
Te (0.7407, 0.0945, 0.4206)
Te (0.9055, 0.5794, 0.2593)

Top 10 peaks for 2θ = 5–70°, by angle:
2θ 14.38, 6.159 Å, intensity 15; 2θ 23.92, 3.720 Å, intensity 11; 2θ 27.16, 3.283 Å, intensity 100; 2θ 35.25, 2.546 Å, intensity 90; 2θ 42.07, 2.148 Å, intensity 90; 2θ 45.99, 1.973 Å, intensity 54; 2θ 50.80, 1.797 Å, intensity 18; 2θ 56.01, 1.642 Å, intensity 24; 2θ 64.08, 1.453 Å, intensity 19; 2θ 68.01, 1.378 Å, intensity 15